The following is a theoretical powder XRD pattern of LiPaI4. It was derived from DFT lattice parameters and positions (PBE), using Cu Kα, 1.54184 Å.
Lines closer than 0.1° are merged.

Structure:
a = 7.0938 Å, b = 7.0938 Å, c = 12.5965 Å
α = 90.00°, β = 90.00°, γ = 90.00°
Fractional coordinates of all 12 atoms:
1 Li 0.0000 0.0000 0.0000
2 Li 0.5000 0.5000 0.5000
3 Pa 0.0000 0.5000 0.2500
4 Pa 0.5000 0.0000 0.7500
5 I 0.2360 0.7629 0.8815
6 I 0.2371 0.2360 0.1185
7 I 0.2629 0.2640 0.6185
8 I 0.2640 0.7371 0.3815
9 I 0.7360 0.2629 0.3815
10 I 0.7371 0.7360 0.6185
11 I 0.7629 0.7640 0.1185
12 I 0.7640 0.2371 0.8815

Largest 8 diffraction maxima, most intense first, 10° ≤ 2θ ≤ 90°:
2θ = 22.66°, d 3.924, rel. 100
2θ = 14.33°, d 6.181, rel. 47
2θ = 38.22°, d 2.355, rel. 44
2θ = 42.79°, d 2.113, rel. 35
2θ = 35.80°, d 2.508, rel. 26
2θ = 29.03°, d 3.076, rel. 20
2θ = 65.94°, d 1.417, rel. 16
2θ = 24.64°, d 3.613, rel. 14



The following is a theoretical powder XRD pattern of LiPa2I11. It was derived from DFT lattice parameters and positions (PBE), using Cu Kα, 1.54184 Å.
Lines closer than 0.1° are merged.

Structure:
a = 13.6209 Å, b = 13.6209 Å, c = 13.6209 Å
α = 129.85°, β = 92.22°, γ = 108.69°
Fractional coordinates of all 28 atoms:
1 Li 0.2500 0.2500 0.0000
2 Li 0.7500 0.7500 0.0000
3 Pa 0.0821 0.7326 0.8147
4 Pa 0.4179 0.2326 0.6505
5 Pa 0.5821 0.7674 0.3495
6 Pa 0.9179 0.2674 0.1853
7 I 0.0000 0.5000 0.5000
8 I 0.0380 0.5059 0.8089
9 I 0.1052 0.9436 0.7933
10 I 0.1503 0.3120 0.2067
11 I 0.1573 0.9492 0.1065
12 I 0.1970 0.0059 0.4679
13 I 0.3030 0.7709 0.8089
14 I 0.3427 0.4492 0.7919
15 I 0.3497 0.5564 0.1616
16 I 0.3948 0.1880 0.8384
17 I 0.4620 0.2709 0.4679
18 I 0.5000 0.0000 0.5000
19 I 0.5380 0.7291 0.5321
20 I 0.6052 0.8120 0.1616
21 I 0.6503 0.4436 0.8384
22 I 0.6573 0.5508 0.2081
23 I 0.6970 0.2291 0.1911
24 I 0.8030 0.9941 0.5321
25 I 0.8427 0.0508 0.8935
26 I 0.8497 0.6880 0.7933
27 I 0.8948 0.0564 0.2067
28 I 0.9620 0.4941 0.1911

Largest 8 diffraction maxima, most intense first, 10° ≤ 2θ ≤ 90°:
2θ = 13.34°, d 6.640, rel. 100
2θ = 11.14°, d 7.940, rel. 62
2θ = 27.67°, d 3.224, rel. 40
2θ = 26.45°, d 3.370, rel. 38
2θ = 27.16°, d 3.283, rel. 36
2θ = 39.74°, d 2.268, rel. 24
2θ = 45.71°, d 1.985, rel. 21
2θ = 19.57°, d 4.536, rel. 21



The following is a theoretical powder XRD pattern of LiPb2I2. It was derived from DFT lattice parameters and positions (PBE), using Cu Kα, 1.54184 Å.
Lines closer than 0.1° are merged.

Structure:
a = 7.9867 Å, b = 7.9867 Å, c = 5.4622 Å
α = 90.00°, β = 90.00°, γ = 90.00°
Fractional coordinates of all 10 atoms:
1 Li 0.0000 0.0000 0.0000
2 Li 0.5000 0.5000 0.0000
3 Pb 0.1763 0.3237 0.0000
4 Pb 0.3237 0.8237 0.0000
5 Pb 0.6763 0.1763 0.0000
6 Pb 0.8237 0.6763 0.0000
7 I 0.1795 0.6795 0.5000
8 I 0.3205 0.1795 0.5000
9 I 0.6795 0.8205 0.5000
10 I 0.8205 0.3205 0.5000

Largest 8 diffraction maxima, most intense first, 10° ≤ 2θ ≤ 90°:
2θ = 29.89°, d 2.989, rel. 100
2θ = 22.26°, d 3.993, rel. 38
2θ = 49.96°, d 1.826, rel. 37
2θ = 32.79°, d 2.731, rel. 20
2θ = 39.99°, d 2.254, rel. 17
2θ = 56.75°, d 1.622, rel. 17
2θ = 71.05°, d 1.327, rel. 13
2θ = 59.65°, d 1.550, rel. 13



The following is a theoretical powder XRD pattern of Li2Pb3I8. It was derived from DFT lattice parameters and positions (PBE), using Cu Kα, 1.54184 Å.
Lines closer than 0.1° are merged.

Structure:
a = 9.0496 Å, b = 9.0496 Å, c = 8.0409 Å
α = 107.22°, β = 107.22°, γ = 62.32°
Fractional coordinates of all 13 atoms:
1 Li 0.1612 0.1612 0.1121
2 Li 0.8388 0.8388 0.8879
3 Pb 0.2388 0.7612 0.5000
4 Pb 0.5000 0.5000 0.0000
5 Pb 0.7612 0.2388 0.5000
6 I 0.1264 0.6177 0.7455
7 I 0.1303 0.1303 0.7469
8 I 0.3700 0.3700 0.2481
9 I 0.3823 0.8736 0.2545
10 I 0.6177 0.1264 0.7455
11 I 0.6300 0.6300 0.7519
12 I 0.8697 0.8697 0.2531
13 I 0.8736 0.3823 0.2545

Largest 8 diffraction maxima, most intense first, 10° ≤ 2θ ≤ 90°:
2θ = 27.45°, d 3.249, rel. 100
2θ = 39.92°, d 2.259, rel. 56
2θ = 27.57°, d 3.235, rel. 50
2θ = 38.71°, d 2.326, rel. 41
2θ = 12.18°, d 7.266, rel. 37
2θ = 22.35°, d 3.979, rel. 25
2θ = 47.97°, d 1.897, rel. 21
2θ = 38.45°, d 2.341, rel. 21



The following is a theoretical powder XRD pattern of LiPb2I5. It was derived from DFT lattice parameters and positions (PBE), using Cu Kα, 1.54184 Å.
Lines closer than 0.1° are merged.

Structure:
a = 11.6356 Å, b = 7.8514 Å, c = 15.6165 Å
α = 90.00°, β = 110.63°, γ = 90.00°
Fractional coordinates of all 32 atoms:
1 Li 0.0000 0.0000 0.0000
2 Li 0.0000 0.5000 0.5000
3 Li 0.5000 0.0000 0.0000
4 Li 0.5000 0.5000 0.5000
5 Pb 0.0904 0.0031 0.3815
6 Pb 0.0904 0.4969 0.8815
7 Pb 0.4093 0.0036 0.6183
8 Pb 0.4093 0.4964 0.1183
9 Pb 0.5907 0.5036 0.8817
10 Pb 0.5907 0.9964 0.3817
11 Pb 0.9096 0.5031 0.1185
12 Pb 0.9096 0.9969 0.6185
13 I 0.0497 0.1480 0.1841
14 I 0.0497 0.3520 0.6841
15 I 0.1401 0.6843 0.0879
16 I 0.1401 0.8157 0.5879
17 I 0.2498 0.1774 0.9996
18 I 0.2498 0.3226 0.4996
19 I 0.3598 0.6845 0.9121
20 I 0.3598 0.8155 0.4121
21 I 0.4517 0.1477 0.8161
22 I 0.4517 0.3523 0.3161
23 I 0.5483 0.6477 0.6839
24 I 0.5483 0.8523 0.1839
25 I 0.6402 0.1845 0.5879
26 I 0.6402 0.3155 0.0879
27 I 0.7502 0.6774 0.5004
28 I 0.7502 0.8226 0.0004
29 I 0.8599 0.1843 0.4121
30 I 0.8599 0.3157 0.9121
31 I 0.9503 0.6480 0.3159
32 I 0.9503 0.8520 0.8159

Largest 8 diffraction maxima, most intense first, 10° ≤ 2θ ≤ 90°:
2θ = 25.53°, d 3.489, rel. 100
2θ = 12.80°, d 6.917, rel. 59
2θ = 39.84°, d 2.263, rel. 55
2θ = 33.30°, d 2.691, rel. 53
2θ = 25.87°, d 3.445, rel. 52
2θ = 32.92°, d 2.721, rel. 50
2θ = 32.69°, d 2.739, rel. 38
2θ = 22.40°, d 3.969, rel. 37



The following is a theoretical powder XRD pattern of Li3PmI6. It was derived from DFT lattice parameters and positions (PBE), using Cu Kα, 1.54184 Å.
Lines closer than 0.1° are merged.

Structure:
a = 8.5669 Å, b = 8.6013 Å, c = 8.6027 Å
α = 60.96°, β = 60.75°, γ = 60.75°
Fractional coordinates of all 10 atoms:
1 Li 0.0000 0.0000 0.0000
2 Li 0.0000 0.5000 0.5000
3 Li 0.5000 0.0000 0.5000
4 Pm 0.0000 0.5000 0.0000
5 I 0.2298 0.7758 0.7672
6 I 0.2337 0.2710 0.2720
7 I 0.2538 0.2458 0.7457
8 I 0.7462 0.7542 0.2543
9 I 0.7663 0.7290 0.7280
10 I 0.7702 0.2242 0.2328

Largest 8 diffraction maxima, most intense first, 10° ≤ 2θ ≤ 90°:
2θ = 14.49°, d 6.111, rel. 100
2θ = 29.23°, d 3.056, rel. 95
2θ = 25.08°, d 3.550, rel. 39
2θ = 41.61°, d 2.170, rel. 22
2θ = 12.51°, d 7.076, rel. 22
2θ = 42.02°, d 2.150, rel. 20
2θ = 25.24°, d 3.528, rel. 19
2θ = 25.56°, d 3.485, rel. 18